Calculated powder X-ray diffraction pattern of KHoCoSi2O7 for Cu Kα (weighted mean of Kα1 and Kα2), from a DFT-relaxed cell (GGA+U, OQMD).
Neutral-atom scattering factors, no anomalous dispersion.

The 10 most intense peaks (2θ from 15° to 90°), sorted by position:
hkl 1 1 -1, 5.679 Å, 15.60 deg, rel. 100
hkl 1 1 1, 4.061 Å, 21.88 deg, rel. 49
hkl 0 2 2, 3.009 Å, 29.69 deg, rel. 99
hkl 1 3 -1, 2.976 Å, 30.03 deg, rel. 52
hkl 2 2 0, 2.965 Å, 30.14 deg, rel. 80
hkl 2 2 -2, 2.839 Å, 31.51 deg, rel. 36
hkl 1 1 -3, 2.669 Å, 33.58 deg, rel. 37
hkl 3 1 -1, 2.608 Å, 34.39 deg, rel. 31
hkl 2 4 -2, 2.012 Å, 45.05 deg, rel. 29
hkl 4 0 -4, 1.735 Å, 52.78 deg, rel. 26

Structure:
```
48
Lattice="8.152 0.000 0.000 0.000 9.884 0.000 -3.473 0.000 7.585" Properties=species:S:1:pos:R:3 pbc="T T T"
K 0.950 0.000 1.615
K -0.346 4.941 5.972
K 5.025 4.941 1.614
K 3.729 0.000 5.970
Ho -0.728 9.098 5.462
Ho 1.321 4.156 2.133
Ho 3.358 4.156 5.452
Ho 5.406 9.098 2.123
Co -1.737 2.221 3.793
Co 0.000 6.909 0.000
Co 4.076 1.971 0.000
Co 2.339 7.170 3.793
Si -0.477 6.473 2.938
Si -2.131 2.354 6.689
Si 2.736 7.294 0.904
Si 1.074 1.531 4.640
Si 3.605 1.531 2.946
Si 1.942 7.294 6.682
Si 6.809 2.354 0.897
Si 5.156 6.473 4.647
O 0.000 2.598 0.000
O -1.737 5.814 3.793
O -0.921 3.143 2.276
O -0.425 5.726 1.484
O -0.662 8.091 2.964
O -1.857 0.784 6.447
O -0.286 0.888 3.963
O -1.836 8.017 7.518
O 2.440 3.078 0.078
O 0.885 5.842 3.620
O 2.460 5.726 1.153
O 1.248 3.151 4.594
O 1.027 0.796 6.100
O 1.514 8.089 5.308
O 2.339 0.873 3.793
O 4.076 7.530 0.000
O 3.164 8.089 2.278
O 3.652 0.796 1.486
O 3.431 3.151 2.992
O 2.218 5.726 6.433
O 3.794 5.842 3.965
O 2.239 3.078 7.508
O 6.515 8.017 0.068
O 4.964 0.888 3.623
O 6.535 0.784 1.138
O 5.341 8.091 4.621
O 5.104 5.726 6.102
O 5.600 3.143 5.309
```